This entry pairs a crystal structure of ZrMnCu2Se4 with its theoretical powder diffractogram. Radiation: Cu Ka. Structure: DFT lattice parameters and positions (GGA-PBE).
Intensities are scaled so that the largest is 100.

Top 12 peaks for 2θ from 5° to 70°, in order of falling intensity:
2θ/deg  I/Imax
27.30  100
38.53  94
45.65  88
43.46  84
30.80  65
37.94  60
33.61  58
16.07  39
59.42  37
50.11  32
27.08  32
53.68  31

Cell and atoms:
```
data_ZrMnCu2Se4
_symmetry_space_group_name_H-M 'C 1 m 1'
_symmetry_Int_Tables_number 8
_cell_length_a 12.867
_cell_length_b 4.673
_cell_length_c 6.614
_cell_angle_alpha 90.00
_cell_angle_beta 115.49
_cell_angle_gamma 90.00
loop_
_symmetry_equiv_pos_as_xyz
'x,y,z'
'x,-y,z'
'x+1/2,y+1/2,z'
'x+1/2,-y+1/2,z'
loop_
_atom_site_label
_atom_site_type_symbol
_atom_site_fract_x
_atom_site_fract_y
_atom_site_fract_z
Zr1 Zr 0.000 0.000 0.000
Mn1 Mn 0.197 0.000 0.553
Cu1 Cu 0.289 0.500 0.400
Cu2 Cu 0.364 0.000 0.026
Se1 Se 0.230 0.000 0.196
Se2 Se 0.257 0.500 0.735
Se3 Se 0.476 0.500 0.359
Se4 Se 0.477 0.000 0.810
```